This entry pairs a crystal structure of Ac3Tm with its simulated XRD peak list. Radiation: CuKα. Structure: a DFT-relaxed cell (GGA-PBE, the Materials Project).
Neutral-atom scattering factors, no anomalous dispersion.

Main lines, in order of rising 2θ (2θ = 10–90°):
two_theta  d_spacing  I/Imax  (hkl)
26.38  3.378  23.0  2 0 0
28.29  3.155  25.9  0 0 2
30.00  2.978  100.0  2 0 1
39.07  2.306  16.6  2 0 2
46.56  1.950  20.3  2 2 0
51.16  1.785  23.3  2 0 3
55.38  1.659  24.5  2 2 2
56.39  1.632  17.4  4 0 1
76.05  1.251  14.5  4 2 1
89.88  1.091  10.1  4 2 3

a = 7.8017 Å, b = 7.8017 Å, c = 6.3091 Å
α = 90.00°, β = 90.00°, γ = 120.00°
Space group P6_3/mmc (No. 194)
Unique sites:
Ac1 0.1700 0.3400 0.2500 (multiplicity 6)
Tm1 0.3333 0.6667 0.7500 (multiplicity 2)